Tb3B2Pt9: calculated X-ray diffraction stick pattern (λ = 1.5418 Å (Cu Kα)), based on a cell relaxed with GGA-PBE.

Atomic structure:
abc: 6.0224 6.0224 14.7244
angles: 90.00 90.00 120.00
Space group P6_3/mmc (No. 194)
Unique sites:
Tb 0.0000 0.0000 0.2500 [2 per cell]
Tb 0.3333 0.6667 0.0788 [4 per cell]
B 0.3333 0.6667 0.6590 [4 per cell]
Pt 0.0124 0.5062 0.2500 [6 per cell]
Pt 0.1599 0.3198 0.5810 [12 per cell]

Principal peaks in the range 10° ≤ 2θ ≤ 90°, in order of rising 2θ:
Position (°2θ), I (rel.), hkl
34.9, 20.2, 2 0 1
36.6, 100.0, 0 0 6
39.1, 65.1, 2 0 3
42.5, 36.2, 2 0 4
46.5, 14.7, 2 0 5
61.6, 41.4, 2 2 0
67.6, 13.1, 2 0 9
73.8, 37.7, 2 2 6
75.4, 9.5, 4 0 3
77.7, 6.1, 4 0 4